The following is a theoretical PXRD pattern of Na2MnP2. It was derived from a cell relaxed with GGA-PBE, using Cu Kα (λ = 1.5418 Å).
Kinematic intensities with the Lorentz-polarization factor, no thermal factor.

Crystal structure
```
data_Na2MnP2
_cell_length_a 2.7139
_cell_length_b 2.7139
_cell_length_c 13.4019
_cell_angle_alpha 90.00
_cell_angle_beta 90.00
_cell_angle_gamma 90.00
_symmetry_space_group_name_H-M 'P 4/m m m'
_symmetry_Int_Tables_number 123
_symmetry_space_group_name_Hall '-P 4 2'
loop_
_atom_site_label
_atom_site_fract_x
_atom_site_fract_y
_atom_site_fract_z
_atom_site_occupancy
Na1 0.0000 0.0000 0.1209 1
Mn1 0.0000 0.0000 0.5000 1
P1 0.0000 0.0000 0.3283 1
```

Peak list (8 most intense, 2θ = 10–80°, by intensity)
- d = 2.714 Å, I = 100, hkl 1 0 0
- d = 1.907 Å, I = 42, hkl 1 0 5
- d = 1.919 Å, I = 33, hkl 1 1 0
- d = 2.680 Å, I = 31, hkl 0 0 5
- d = 1.560 Å, I = 21, hkl 1 1 5
- d = 1.725 Å, I = 20, hkl 1 0 6
- d = 2.660 Å, I = 17, hkl 1 0 1
- d = 1.214 Å, I = 13, hkl 2 1 0

=====

The following is a theoretical PXRD pattern of Al2Cu11B13. It was derived from a cell relaxed with GGA-PBE, using Cu Kα (λ = 1.5418 Å).
Kinematic intensities with the Lorentz-polarization factor, no thermal factor.

Crystal structure
```
data_Al2Cu11B13
_cell_length_a 8.0240
_cell_length_b 8.0240
_cell_length_c 8.0240
_cell_angle_alpha 90.00
_cell_angle_beta 90.00
_cell_angle_gamma 90.00
_symmetry_space_group_name_H-M 'P -4 3 m'
_symmetry_Int_Tables_number 215
_symmetry_space_group_name_Hall 'P -4 2 3'
loop_
_atom_site_label
_atom_site_fract_x
_atom_site_fract_y
_atom_site_fract_z
_atom_site_occupancy
Al1 0.1184 0.1184 0.1184 1
Cu1 0.0000 0.0000 0.3592 1
Cu2 0.0337 0.3514 0.3514 1
Cu3 0.2065 0.2065 0.7935 1
B1 0.2244 0.5000 0.5000 1
B2 0.2509 0.2509 0.4922 1
B3 0.2714 0.2714 0.2714 1
B4 0.3652 0.3652 0.6348 1
```

Peak list (8 most intense, 2θ = 10–80°, by intensity)
- d = 1.891 Å, I = 100, hkl 3 3 0
- d = 2.675 Å, I = 57, hkl 3 0 0
- d = 2.419 Å, I = 43, hkl 3 1 1
- d = 2.225 Å, I = 42, hkl 3 2 0
- d = 8.024 Å, I = 29, hkl 1 0 0
- d = 1.946 Å, I = 22, hkl 4 1 0
- d = 5.674 Å, I = 19, hkl 1 1 0
- d = 3.588 Å, I = 18, hkl 2 1 0

=====

The following is a theoretical PXRD pattern of K3Se2O8. It was derived from a cell relaxed with GGA-PBE, using Cu Kα (λ = 1.5418 Å).
Kinematic intensities with the Lorentz-polarization factor, no thermal factor.

Crystal structure
```
data_K3Se2O8
_cell_length_a 15.2143
_cell_length_b 5.9913
_cell_length_c 10.2785
_cell_angle_alpha 90.00
_cell_angle_beta 102.99
_cell_angle_gamma 90.00
_symmetry_space_group_name_H-M 'C 1 2/c 1'
_symmetry_Int_Tables_number 15
_symmetry_space_group_name_Hall '-C 2yc'
loop_
_atom_site_label
_atom_site_fract_x
_atom_site_fract_y
_atom_site_fract_z
_atom_site_occupancy
K1 0.0000 0.2371 0.2500 1
K2 0.1947 0.2643 0.6516 1
Se1 0.1145 0.2242 0.9623 1
O1 0.9999 0.1837 0.5659 1
O2 0.1272 0.4609 0.8823 1
O3 0.1548 0.2488 0.1262 1
O4 0.1587 0.0073 0.8988 1
```

Peak list (8 most intense, 2θ = 10–80°, by intensity)
- d = 3.370 Å, I = 100, hkl 4 0 -2
- d = 2.974 Å, I = 56, hkl 1 1 -3
- d = 2.237 Å, I = 27, hkl 4 2 -2
- d = 2.996 Å, I = 27, hkl 0 2 0
- d = 5.041 Å, I = 25, hkl 1 1 -1
- d = 2.042 Å, I = 22, hkl 7 1 -1
- d = 2.226 Å, I = 17, hkl 2 0 4
- d = 5.008 Å, I = 17, hkl 0 0 2

=====

The following is a theoretical PXRD pattern of Na2Pr2MgTi2O8. It was derived from a cell relaxed with GGA-PBE, using Cu Kα (λ = 1.5418 Å).
Kinematic intensities with the Lorentz-polarization factor, no thermal factor.

Crystal structure
```
data_Na2Pr2MgTi2O8
_cell_length_a 3.6569
_cell_length_b 3.6569
_cell_length_c 17.1566
_cell_angle_alpha 90.00
_cell_angle_beta 90.00
_cell_angle_gamma 90.00
_symmetry_space_group_name_H-M 'P -4 m 2'
_symmetry_Int_Tables_number 115
_symmetry_space_group_name_Hall 'P -4 -2'
loop_
_atom_site_label
_atom_site_fract_x
_atom_site_fract_y
_atom_site_fract_z
_atom_site_occupancy
Na1 0.0000 0.5000 0.0614 1
Pr1 0.0000 0.5000 0.3117 1
Mg1 0.5000 0.5000 0.5000 1
Ti1 0.0000 0.5000 0.8215 1
O1 0.0000 0.0000 0.2112 1
O2 0.0000 0.5000 0.6590 1
O3 0.0000 0.5000 0.9254 1
O4 0.5000 0.5000 0.2113 1
```

Peak list (8 most intense, 2θ = 10–80°, by intensity)
- d = 8.578 Å, I = 100, hkl 0 0 2
- d = 2.783 Å, I = 55, hkl 1 0 4
- d = 3.364 Å, I = 38, hkl 1 0 2
- d = 2.586 Å, I = 27, hkl 1 1 0
- d = 2.356 Å, I = 22, hkl 1 1 3
- d = 1.828 Å, I = 19, hkl 2 0 0
- d = 1.528 Å, I = 18, hkl 2 1 4
- d = 3.577 Å, I = 18, hkl 1 0 1

=====

The following is a theoretical PXRD pattern of Si6Sb3N11. It was derived from a cell relaxed with GGA-PBE, using Cu Kα (λ = 1.5418 Å).
Kinematic intensities with the Lorentz-polarization factor, no thermal factor.

Crystal structure
```
data_Si6Sb3N11
_cell_length_a 10.1485
_cell_length_b 10.1485
_cell_length_c 4.9158
_cell_angle_alpha 90.00
_cell_angle_beta 90.00
_cell_angle_gamma 90.00
_symmetry_space_group_name_H-M 'P 4 b m'
_symmetry_Int_Tables_number 100
_symmetry_space_group_name_Hall 'P 4 -2ab'
loop_
_atom_site_label
_atom_site_fract_x
_atom_site_fract_y
_atom_site_fract_z
_atom_site_occupancy
Si1 0.0808 0.2077 0.0000 1
Si2 0.1165 0.3835 0.5189 1
Sb1 0.0000 0.0000 0.4402 1
Sb2 0.1896 0.6896 0.4244 1
N1 0.0000 0.5000 0.4996 1
N2 0.0758 0.2311 0.6570 1
N3 0.0762 0.8231 0.1298 1
N4 0.1628 0.3372 0.1783 1
```

Peak list (8 most intense, 2θ = 10–80°, by intensity)
- d = 2.687 Å, I = 100, hkl 3 1 1
- d = 2.898 Å, I = 95, hkl 2 2 1
- d = 4.916 Å, I = 89, hkl 0 0 1
- d = 2.460 Å, I = 75, hkl 0 0 2
- d = 1.740 Å, I = 64, hkl 5 3 0
- d = 3.335 Å, I = 62, hkl 2 1 1
- d = 7.176 Å, I = 35, hkl 1 1 0
- d = 3.209 Å, I = 33, hkl 3 1 0

=====

The following is a theoretical PXRD pattern of Ba3Mn. It was derived from a cell relaxed with GGA-PBE, using Cu Kα (λ = 1.5418 Å).
Kinematic intensities with the Lorentz-polarization factor, no thermal factor.

Crystal structure
```
data_Ba3Mn
_cell_length_a 8.9101
_cell_length_b 8.9101
_cell_length_c 8.9101
_cell_angle_alpha 90.00
_cell_angle_beta 90.00
_cell_angle_gamma 90.00
_symmetry_space_group_name_H-M 'F m -3 m'
_symmetry_Int_Tables_number 225
_symmetry_space_group_name_Hall '-F 4 2 3'
loop_
_atom_site_label
_atom_site_fract_x
_atom_site_fract_y
_atom_site_fract_z
_atom_site_occupancy
Ba1 0.0000 0.0000 0.0000 1
Ba2 0.2500 0.2500 0.2500 1
Mn1 0.0000 0.0000 0.5000 1
```

Peak list (8 most intense, 2θ = 10–80°, by intensity)
- d = 3.150 Å, I = 100, hkl 2 2 0
- d = 1.819 Å, I = 40, hkl 4 2 2
- d = 2.228 Å, I = 19, hkl 4 0 0
- d = 1.409 Å, I = 17, hkl 6 2 0
- d = 1.575 Å, I = 12, hkl 4 4 0
- d = 5.144 Å, I = 6, hkl 1 1 1
- d = 1.286 Å, I = 4, hkl 4 4 4
- d = 2.687 Å, I = 4, hkl 3 1 1

=====

The following is a theoretical PXRD pattern of ErAsSe. It was derived from a cell relaxed with GGA-PBE, using Cu Kα (λ = 1.5418 Å).
Kinematic intensities with the Lorentz-polarization factor, no thermal factor.

Crystal structure
```
data_ErAsSe
_cell_length_a 3.8864
_cell_length_b 3.9000
_cell_length_c 8.7331
_cell_angle_alpha 90.00
_cell_angle_beta 90.00
_cell_angle_gamma 90.00
_symmetry_space_group_name_H-M 'P m m n'
_symmetry_Int_Tables_number 59
loop_
_symmetry_equiv_pos_as_xyz
'x,y,z'
'-x,-y,-z'
'-x+1/2,-y+1/2,z'
'x+1/2,y+1/2,-z'
'x+1/2,-y,-z'
'-x+1/2,y,z'
'-x,y+1/2,-z'
'x,-y+1/2,z'
loop_
_atom_site_label
_atom_site_fract_x
_atom_site_fract_y
_atom_site_fract_z
_atom_site_occupancy
Er1 0.2500 0.2500 0.2219 1
As1 0.2500 0.7500 0.4984 1
Se1 0.2500 0.2500 0.8756 1
```

Peak list (8 most intense, 2θ = 10–80°, by intensity)
- d = 2.330 Å, I = 100, hkl 1 1 2
- d = 2.626 Å, I = 40, hkl 1 1 1
- d = 3.556 Å, I = 37, hkl 1 0 1
- d = 2.911 Å, I = 24, hkl 0 0 3
- d = 2.753 Å, I = 24, hkl 1 1 0
- d = 1.950 Å, I = 16, hkl 0 2 0
- d = 1.943 Å, I = 16, hkl 2 0 0
- d = 1.363 Å, I = 12, hkl 0 1 6

=====

The following is a theoretical PXRD pattern of Tm3Fe2Ge3. It was derived from a cell relaxed with GGA-PBE, using Cu Kα (λ = 1.5418 Å).
Kinematic intensities with the Lorentz-polarization factor, no thermal factor.

Crystal structure
```
data_Tm3Fe2Ge3
_cell_length_a 4.1114
_cell_length_b 10.4969
_cell_length_c 13.5857
_cell_angle_alpha 90.00
_cell_angle_beta 90.00
_cell_angle_gamma 90.00
_symmetry_space_group_name_H-M 'C m c m'
_symmetry_Int_Tables_number 63
_symmetry_space_group_name_Hall '-C 2c 2'
loop_
_atom_site_label
_atom_site_fract_x
_atom_site_fract_y
_atom_site_fract_z
_atom_site_occupancy
Tm1 0.0000 0.0796 0.1122 1
Tm2 0.0000 0.3585 0.2500 1
Fe1 0.0000 0.2150 0.5830 1
Ge1 0.0000 0.3334 0.7500 1
Ge2 0.0000 0.3777 0.0408 1
```

Peak list (8 most intense, 2θ = 10–80°, by intensity)
- d = 2.541 Å, I = 100, hkl 1 1 4
- d = 2.615 Å, I = 61, hkl 1 3 1
- d = 2.297 Å, I = 45, hkl 1 3 3
- d = 2.056 Å, I = 40, hkl 2 0 0
- d = 2.413 Å, I = 25, hkl 0 2 5
- d = 1.523 Å, I = 21, hkl 2 0 6
- d = 3.685 Å, I = 20, hkl 1 1 1
- d = 2.096 Å, I = 20, hkl 1 3 4